The following is a theoretical powder XRD pattern of Dy3GeTe2. It was derived from a PBE-relaxed structure, using Cu Kα, 1.54184 Å.

Principal peaks in the range 2θ = 10–90°, low angle first:
29.3 deg, intensity 50, (2 0 -2)
29.4 deg, intensity 100, (1 3 1)
41.7 deg, intensity 35, (3 3 -1)
42.0 deg, intensity 18, (2 0 2)
42.2 deg, intensity 56, (1 3 -3)
52.2 deg, intensity 19, (2 6 -2)
52.5 deg, intensity 10, (0 0 4)
61.1 deg, intensity 11, (2 6 2)
69.3 deg, intensity 15, (3 3 -5)
76.8 deg, intensity 10, (4 6 -4)

Structural model:
```
data_Dy3GeTe2
_chemical_formula_sum 'Dy12 Ge4 Te8'
_symmetry_space_group_name_H-M 'C 1 2/c 1'
_symmetry_Int_Tables_number 15
_cell_length_a 7.524
_cell_length_b 12.852
_cell_length_c 7.401
_cell_angle_alpha 90.00
_cell_angle_beta 109.64
_cell_angle_gamma 90.00
loop_
_symmetry_equiv_pos_as_xyz
'x,y,z'
'-x,-y,-z'
'-x,y,-z+1/2'
'x,-y,z+1/2'
'x+1/2,y+1/2,z'
'-x+1/2,-y+1/2,-z'
'-x+1/2,y+1/2,-z+1/2'
'x+1/2,-y+1/2,z+1/2'
loop_
_atom_site_label
_atom_site_type_symbol
_atom_site_fract_x
_atom_site_fract_y
_atom_site_fract_z
Dy1 Dy 0.217 0.074 0.494
Dy2 Dy 0.250 0.250 0.000
Ge1 Ge 0.000 0.090 0.750
Te1 Te 0.000 0.259 0.250
Te2 Te 0.000 0.419 0.750
```